[1]
This entry pairs a crystal structure of PrNdCuIr with its computed powder XRD pattern. Radiation: Cu Kα, 1.54184 Å. Structure: a cell relaxed with PBE.
Neutral-atom scattering factors, no anomalous dispersion.

The 9 most intense peaks (10° ≤ 2θ ≤ 80°), in order of rising 2θ:
(1 1 1), 21.50 deg, d 4.132, I = 11; (2 2 0), 35.47 deg, d 2.531, I = 100; (3 1 1), 41.86 deg, d 2.158, I = 6; (4 0 0), 51.04 deg, d 1.789, I = 18; (3 3 1), 56.00 deg, d 1.642, I = 3; (4 2 2), 63.69 deg, d 1.461, I = 36; (5 1 1), 68.06 deg, d 1.377, I = 2; (4 4 0), 75.08 deg, d 1.265, I = 11; (5 3 1), 79.17 deg, d 1.210, I = 2

Structural model:
a = 7.1576 Å, b = 7.1576 Å, c = 7.1576 Å
α = 90.00°, β = 90.00°, γ = 90.00°
Space group F-43m (No. 216)
One atom of each set of equivalent atoms:
Pr (0.0000, 0.0000, 0.0000) (multiplicity 4)
Nd (0.0000, 0.0000, 0.5000) (multiplicity 4)
Cu (0.2500, 0.2500, 0.7500) (multiplicity 4)
Ir (0.2500, 0.2500, 0.2500) (multiplicity 4)

[2]
This entry pairs a crystal structure of Nd2CuSn3Ir4 with its computed powder XRD pattern. Radiation: Cu Kα, 1.54184 Å. Structure: a cell relaxed with PBE.
Neutral-atom scattering factors, no anomalous dispersion.

The 10 most intense peaks (10° ≤ 2θ ≤ 80°), in order of rising 2θ:
(1 0 3), 31.63 deg, d 2.829, I = 56; (1 1 2), 33.36 deg, d 2.686, I = 100; (2 0 0), 41.74 deg, d 2.164, I = 69; (1 1 4), 43.80 deg, d 2.067, I = 44; (1 0 5), 45.56 deg, d 1.991, I = 34; (2 1 3), 53.30 deg, d 1.719, I = 26; (2 2 0), 60.51 deg, d 1.530, I = 23; (2 1 5), 63.49 deg, d 1.465, I = 25; (3 1 2), 70.88 deg, d 1.330, I = 23; (3 1 4), 77.64 deg, d 1.230, I = 17

Structural model:
a = 4.3279 Å, b = 4.3279 Å, c = 11.2116 Å
α = 90.00°, β = 90.00°, γ = 90.00°
Space group P-4m2 (No. 115)
One atom of each set of equivalent atoms:
Nd (0.0000, 0.5000, 0.2425) (multiplicity 2)
Cu (0.5000, 0.5000, 0.0000) (multiplicity 1)
Sn (0.0000, 0.0000, 0.0000) (multiplicity 1)
Sn (0.0000, 0.5000, 0.6329) (multiplicity 2)
Ir (0.0000, 0.0000, 0.5000) (multiplicity 1)
Ir (0.0000, 0.5000, 0.8651) (multiplicity 2)
Ir (0.5000, 0.5000, 0.5000) (multiplicity 1)

[3]
This entry pairs a crystal structure of CuNi2Ir with its computed powder XRD pattern. Radiation: Cu Kα, 1.54184 Å. Structure: a cell relaxed with PBE.
Neutral-atom scattering factors, no anomalous dispersion.

The 10 most intense peaks (10° ≤ 2θ ≤ 80°), in order of rising 2θ:
(0 0 1), 20.28 deg, d 4.379, I = 32; (2 0 0), 21.11 deg, d 4.208, I = 29; (2 0 -1), 26.60 deg, d 3.351, I = 19; (2 0 1), 32.05 deg, d 2.793, I = 12; (1 1 0), 36.11 deg, d 2.487, I = 17; (1 1 1), 42.75 deg, d 2.115, I = 100; (4 0 0), 42.99 deg, d 2.104, I = 98; (3 1 -1), 49.72 deg, d 1.834, I = 64; (2 0 2), 50.33 deg, d 1.813, I = 30; (5 1 1), 73.45 deg, d 1.289, I = 37

Structural model:
a = 8.5560 Å, b = 2.6038 Å, c = 4.4524 Å
α = 90.00°, β = 100.40°, γ = 90.00°
Space group Cm (No. 8)
One atom of each set of equivalent atoms:
Cu (0.0000, 0.0000, 0.0000) (multiplicity 2)
Ni (0.0010, 0.5000, 0.5075) (multiplicity 2)
Ni (0.2486, 0.0000, 0.7717) (multiplicity 2)
Ir (0.2544, 0.5000, 0.2783) (multiplicity 2)

[4]
This entry pairs a crystal structure of CuNi6Ir with its computed powder XRD pattern. Radiation: Cu Kα, 1.54184 Å. Structure: a cell relaxed with PBE.
Neutral-atom scattering factors, no anomalous dispersion.

The 10 most intense peaks (10° ≤ 2θ ≤ 80°), in order of rising 2θ:
(0 0 1), 12.46 deg, d 7.103, I = 16; (1 0 0), 24.76 deg, d 3.596, I = 9; (1 0 1), 27.81 deg, d 3.208, I = 11; (1 0 2), 35.53 deg, d 2.527, I = 7; (1 1 1), 37.57 deg, d 2.394, I = 6; (1 1 2), 43.79 deg, d 2.067, I = 100; (2 0 0), 50.78 deg, d 1.798, I = 32; (0 0 4), 51.46 deg, d 1.776, I = 15; (2 2 0), 74.66 deg, d 1.271, I = 9; (2 0 4), 75.21 deg, d 1.263, I = 19

Structural model:
a = 3.5958 Å, b = 3.5958 Å, c = 7.1032 Å
α = 90.00°, β = 90.00°, γ = 90.00°
Space group P4/mmm (No. 123)
One atom of each set of equivalent atoms:
Cu (0.0000, 0.0000, 0.0000) (multiplicity 1)
Ni (0.0000, 0.5000, 0.2463) (multiplicity 4)
Ni (0.5000, 0.5000, 0.0000) (multiplicity 1)
Ni (0.5000, 0.5000, 0.5000) (multiplicity 1)
Ir (0.0000, 0.0000, 0.5000) (multiplicity 1)

[5]
This entry pairs a crystal structure of Cu2Ni5Ir with its computed powder XRD pattern. Radiation: Cu Kα, 1.54184 Å. Structure: a cell relaxed with PBE.
Neutral-atom scattering factors, no anomalous dispersion.

The 10 most intense peaks (10° ≤ 2θ ≤ 80°), in order of rising 2θ:
(1 1 -1), 21.42 deg, d 4.149, I = 42; (0 2 0), 24.81 deg, d 3.588, I = 17; (2 0 0), 35.26 deg, d 2.545, I = 10; (3 1 -1), 41.69 deg, d 2.166, I = 16; (2 2 0), 43.55 deg, d 2.078, I = 100; (2 2 -2), 43.71 deg, d 2.071, I = 99; (0 0 2), 50.66 deg, d 1.802, I = 32; (0 4 0), 50.90 deg, d 1.794, I = 62; (0 4 2), 74.65 deg, d 1.271, I = 19; (4 4 -2), 74.86 deg, d 1.268, I = 28

Structural model:
a = 7.1753 Å, b = 7.1767 Å, c = 5.0716 Å
α = 90.00°, β = 134.71°, γ = 90.00°
Space group C2/m (No. 12)
One atom of each set of equivalent atoms:
Cu (0.0000, 0.0000, 0.0000) (multiplicity 2)
Cu (0.0000, 0.0000, 0.5000) (multiplicity 2)
Ni (0.0000, 0.5000, 0.0000) (multiplicity 2)
Ni (0.2500, 0.2500, 0.0000) (multiplicity 4)
Ni (0.2500, 0.2500, 0.5000) (multiplicity 4)
Ir (0.0000, 0.5000, 0.5000) (multiplicity 2)

[6]
This entry pairs a crystal structure of CuNi6Ir with its computed powder XRD pattern. Radiation: Cu Kα, 1.54184 Å. Structure: a cell relaxed with PBE.
Neutral-atom scattering factors, no anomalous dispersion.

The 10 most intense peaks (10° ≤ 2θ ≤ 80°), in order of rising 2θ:
(0 0 2), 17.51 deg, d 5.065, I = 16; (1 1 1), 23.15 deg, d 3.843, I = 36; (0 2 2), 30.58 deg, d 2.923, I = 12; (1 1 3), 34.23 deg, d 2.620, I = 13; (2 2 0), 43.59 deg, d 2.076, I = 100; (0 2 4), 43.79 deg, d 2.067, I = 98; (1 1 5), 50.10 deg, d 1.821, I = 10; (2 0 4), 50.82 deg, d 1.797, I = 62; (0 4 0), 51.03 deg, d 1.790, I = 31; (2 4 4), 74.89 deg, d 1.268, I = 37

Structural model:
a = 5.0985 Å, b = 7.1590 Å, c = 10.1299 Å
α = 90.00°, β = 90.00°, γ = 90.00°
Space group Fmmm (No. 69)
One atom of each set of equivalent atoms:
Cu (0.0000, 0.0000, 0.0000) (multiplicity 4)
Ni (0.0000, 0.0000, 0.2508) (multiplicity 8)
Ni (0.2500, 0.2500, 0.1280) (multiplicity 16)
Ir (0.0000, 0.0000, 0.5000) (multiplicity 4)

[7]
This entry pairs a crystal structure of TaCuIrO6 with its computed powder XRD pattern. Radiation: Cu Kα, 1.54184 Å. Structure: a cell relaxed with PBE.
Neutral-atom scattering factors, no anomalous dispersion.

The 10 most intense peaks (10° ≤ 2θ ≤ 80°), in order of rising 2θ:
(1 0 1), 21.26 deg, d 4.180, I = 24; (1 1 0), 26.91 deg, d 3.313, I = 100; (1 0 3), 34.84 deg, d 2.575, I = 85; (2 0 0), 38.42 deg, d 2.343, I = 25; (2 1 3), 52.83 deg, d 1.733, I = 66; (2 2 0), 55.46 deg, d 1.657, I = 16; (3 1 0), 62.70 deg, d 1.482, I = 16; (1 1 6), 66.97 deg, d 1.397, I = 15; (3 0 3), 67.19 deg, d 1.393, I = 19; (2 0 6), 73.57 deg, d 1.287, I = 10

Structural model:
a = 4.6858 Å, b = 4.6858 Å, c = 9.2459 Å
α = 90.00°, β = 90.00°, γ = 90.00°
Space group P4_2nm (No. 102)
One atom of each set of equivalent atoms:
Ta (0.0000, 0.0000, 0.0000) (multiplicity 2)
Cu (0.0000, 0.0000, 0.3306) (multiplicity 2)
Ir (0.0000, 0.0000, 0.6678) (multiplicity 2)
O (0.1952, 0.1952, 0.8342) (multiplicity 4)
O (0.1992, 0.1992, 0.5092) (multiplicity 4)
O (0.2082, 0.2082, 0.1564) (multiplicity 4)

[8]
This entry pairs a crystal structure of ZnCu2IrO6 with its computed powder XRD pattern. Radiation: Cu Kα, 1.54184 Å. Structure: a cell relaxed with PBE.
Neutral-atom scattering factors, no anomalous dispersion.

The 10 most intense peaks (10° ≤ 2θ ≤ 80°), in order of rising 2θ:
(1 0 1), 20.94 deg, d 4.242, I = 39; (0 1 2), 23.77 deg, d 3.743, I = 65; (1 0 4), 32.87 deg, d 2.725, I = 95; (1 1 0), 34.85 deg, d 2.575, I = 100; (1 1 3), 40.16 deg, d 2.245, I = 26; (0 2 4), 48.66 deg, d 1.871, I = 36; (1 1 6), 53.49 deg, d 1.713, I = 57; (2 1 4), 61.23 deg, d 1.514, I = 34; (3 0 0), 62.48 deg, d 1.486, I = 32; (1 0 10), 71.77 deg, d 1.315, I = 23

Structural model:
a = 5.1493 Å, b = 5.1493 Å, c = 13.7665 Å
α = 90.00°, β = 90.00°, γ = 120.00°
Space group R3 (No. 146, hexagonal axes)
One atom of each set of equivalent atoms:
Zn (0.0000, 0.0000, 0.0000) (multiplicity 3)
Cu (0.0000, 0.0000, 0.2092) (multiplicity 3)
Cu (0.0000, 0.0000, 0.7242) (multiplicity 3)
Ir (0.0000, 0.0000, 0.5213) (multiplicity 3)
O (0.0106, 0.3588, 0.7851) (multiplicity 9)
O (0.0428, 0.6818, 0.2804) (multiplicity 9)

[9]
This entry pairs a crystal structure of CuIrPdSe5 with its computed powder XRD pattern. Radiation: Cu Kα, 1.54184 Å. Structure: a cell relaxed with PBE.
Neutral-atom scattering factors, no anomalous dispersion.

The 10 most intense peaks (10° ≤ 2θ ≤ 80°), in order of rising 2θ:
(1 1 0), 14.21 deg, d 6.232, I = 100; (1 1 1), 20.04 deg, d 4.430, I = 57; (0 2 2), 27.72 deg, d 3.218, I = 69; (2 0 -2), 28.29 deg, d 3.154, I = 83; (1 1 2), 29.44 deg, d 3.034, I = 47; (1 5 1), 44.46 deg, d 2.038, I = 63; (1 3 3), 46.50 deg, d 1.953, I = 39; (4 0 0), 48.63 deg, d 1.872, I = 38; (2 2 -4), 49.16 deg, d 1.853, I = 50; (3 5 -1), 54.08 deg, d 1.696, I = 48

Structural model:
a = 7.7616 Å, b = 11.2416 Å, c = 8.1306 Å
α = 90.00°, β = 105.25°, γ = 90.00°
Space group C2/c (No. 15)
One atom of each set of equivalent atoms:
Cu (0.0000, 0.0711, 0.2500) (multiplicity 4)
Ir (0.0000, 0.4493, 0.2500) (multiplicity 4)
Pd (0.2500, 0.2500, 0.0000) (multiplicity 4)
Se (0.0000, 0.3297, 0.7500) (multiplicity 4)
Se (0.0444, 0.2583, 0.4206) (multiplicity 8)
Se (0.2391, 0.4673, 0.0856) (multiplicity 8)

[10]
This entry pairs a crystal structure of Pm8CuIr2 with its computed powder XRD pattern. Radiation: Cu Kα, 1.54184 Å. Structure: a cell relaxed with PBE.
Neutral-atom scattering factors, no anomalous dispersion.

The 10 most intense peaks (10° ≤ 2θ ≤ 80°), in order of rising 2θ:
(0 0 1), 14.71 deg, d 6.024, I = 41; (1 1 -2), 29.25 deg, d 3.054, I = 28; (2 0 1), 29.80 deg, d 2.998, I = 28; (1 3 1), 29.93 deg, d 2.985, I = 100; (0 4 1), 32.29 deg, d 2.772, I = 45; (3 1 -1), 32.44 deg, d 2.760, I = 56; (0 2 2), 33.02 deg, d 2.713, I = 49; (2 2 -2), 34.36 deg, d 2.610, I = 36; (3 3 -1), 38.47 deg, d 2.340, I = 29; (1 5 -1), 39.37 deg, d 2.289, I = 79

Structural model:
a = 8.5987 Å, b = 12.4904 Å, c = 6.3139 Å
α = 90.00°, β = 107.44°, γ = 90.00°
Space group Cm (No. 8)
One atom of each set of equivalent atoms:
Pm (0.0000, 0.0000, 0.0000) (multiplicity 2)
Pm (0.0758, 0.3637, 0.8282) (multiplicity 4)
Pm (0.1565, 0.1335, 0.5873) (multiplicity 4)
Pm (0.2206, 0.5000, 0.3983) (multiplicity 2)
Pm (0.3713, 0.2157, 0.2061) (multiplicity 4)
Cu (0.3594, 0.0000, 0.0084) (multiplicity 2)
Ir (0.3632, 0.3156, 0.6965) (multiplicity 4)

[11]
This entry pairs a crystal structure of Pm3Cu3Ir2 with its computed powder XRD pattern. Radiation: Cu Kα, 1.54184 Å. Structure: a cell relaxed with PBE.
Neutral-atom scattering factors, no anomalous dispersion.

The 10 most intense peaks (10° ≤ 2θ ≤ 80°), in order of rising 2θ:
(0 2 1), 17.88 deg, d 4.961, I = 38; (1 1 4), 32.57 deg, d 2.749, I = 100; (1 3 0), 33.25 deg, d 2.694, I = 58; (1 3 1), 33.77 deg, d 2.654, I = 48; (0 4 0), 34.23 deg, d 2.620, I = 40; (0 0 6), 34.94 deg, d 2.568, I = 46; (1 1 5), 37.09 deg, d 2.424, I = 42; (1 3 4), 40.87 deg, d 2.208, I = 91; (2 0 0), 42.73 deg, d 2.116, I = 59; (1 3 5), 44.68 deg, d 2.028, I = 29

Structural model:
a = 4.2324 Å, b = 10.4798 Å, c = 15.4089 Å
α = 90.00°, β = 90.00°, γ = 90.00°
Space group Cmcm (No. 63)
One atom of each set of equivalent atoms:
Pm (0.0000, 0.0972, 0.2500) (multiplicity 4)
Pm (0.0000, 0.3692, 0.0854) (multiplicity 8)
Cu (0.0000, 0.0822, 0.0539) (multiplicity 8)
Cu (0.0000, 0.1886, 0.7500) (multiplicity 4)
Ir (0.0000, 0.3294, 0.6171) (multiplicity 8)

[12]
This entry pairs a crystal structure of Pm5CuIr4 with its computed powder XRD pattern. Radiation: Cu Kα, 1.54184 Å. Structure: a cell relaxed with PBE.
Neutral-atom scattering factors, no anomalous dispersion.

The 10 most intense peaks (10° ≤ 2θ ≤ 80°), in order of rising 2θ:
(0 0 3), 15.02 deg, d 5.898, I = 1; (0 0 4), 20.07 deg, d 4.423, I = 1; (1 0 1), 25.64 deg, d 3.475, I = 1; (1 0 2), 27.11 deg, d 3.290, I = 1; (1 1 0), 35.85 deg, d 2.505, I = 100; (1 0 6), 39.77 deg, d 2.267, I = 1; (1 0 7), 44.00 deg, d 2.058, I = 1; (2 0 0), 51.61 deg, d 1.771, I = 18; (2 1 5), 64.44 deg, d 1.446, I = 36; (2 2 0), 75.99 deg, d 1.252, I = 11

Structural model:
a = 3.5437 Å, b = 3.5437 Å, c = 17.6927 Å
α = 90.00°, β = 90.00°, γ = 90.00°
Space group P4/mmm (No. 123)
One atom of each set of equivalent atoms:
Pm (0.0000, 0.0000, 0.0000) (multiplicity 1)
Pm (0.0000, 0.0000, 0.1974) (multiplicity 2)
Pm (0.0000, 0.0000, 0.3926) (multiplicity 2)
Cu (0.5000, 0.5000, 0.5000) (multiplicity 1)
Ir (0.5000, 0.5000, 0.0997) (multiplicity 2)
Ir (0.5000, 0.5000, 0.3000) (multiplicity 2)

[13]
This entry pairs a crystal structure of PmZnCu2Ir with its computed powder XRD pattern. Radiation: Cu Kα, 1.54184 Å. Structure: a cell relaxed with PBE.
Neutral-atom scattering factors, no anomalous dispersion.

The 10 most intense peaks (10° ≤ 2θ ≤ 80°), in order of rising 2θ:
(0 0 2), 15.79 deg, d 5.612, I = 26; (1 1 0), 31.85 deg, d 2.810, I = 39; (0 1 3), 32.76 deg, d 2.734, I = 34; (1 0 3), 33.00 deg, d 2.715, I = 37; (1 1 2), 35.74 deg, d 2.513, I = 100; (0 2 0), 45.30 deg, d 2.002, I = 28; (1 1 4), 45.69 deg, d 1.986, I = 23; (2 0 0), 46.02 deg, d 1.972, I = 27; (0 1 5), 46.37 deg, d 1.958, I = 29; (1 0 5), 46.55 deg, d 1.951, I = 26

Structural model:
a = 3.9447 Å, b = 4.0039 Å, c = 11.2241 Å
α = 90.00°, β = 90.00°, γ = 90.00°
Space group Imm2 (No. 44)
One atom of each set of equivalent atoms:
Pm (0.0000, 0.0000, 0.0000) (multiplicity 2)
Zn (0.0000, 0.5000, 0.7549) (multiplicity 2)
Cu (0.0000, 0.0000, 0.6240) (multiplicity 2)
Cu (0.0000, 0.5000, 0.2589) (multiplicity 2)
Ir (0.0000, 0.0000, 0.4033) (multiplicity 2)

[14]
This entry pairs a crystal structure of PrSmCuIr with its computed powder XRD pattern. Radiation: Cu Kα, 1.54184 Å. Structure: a cell relaxed with PBE.
Neutral-atom scattering factors, no anomalous dispersion.

The 10 most intense peaks (10° ≤ 2θ ≤ 80°), in order of rising 2θ:
(0 0 2), 16.52 deg, d 5.365, I = 20; (1 1 1), 31.44 deg, d 2.845, I = 100; (0 0 4), 33.41 deg, d 2.682, I = 23; (0 1 3), 33.70 deg, d 2.659, I = 31; (1 0 4), 39.34 deg, d 2.291, I = 25; (1 1 3), 39.59 deg, d 2.276, I = 68; (2 0 0), 41.01 deg, d 2.201, I = 29; (0 2 0), 45.62 deg, d 1.988, I = 21; (2 1 3), 54.09 deg, d 1.696, I = 16; (2 2 0), 63.00 deg, d 1.475, I = 16

Structural model:
a = 4.4018 Å, b = 3.9769 Å, c = 10.7293 Å
α = 90.00°, β = 90.00°, γ = 90.00°
Space group Amm2 (No. 38)
One atom of each set of equivalent atoms:
Pr (0.0000, 0.0000, 0.0000) (multiplicity 2)
Sm (0.5000, 0.0000, 0.7230) (multiplicity 2)
Cu (0.5000, 0.0000, 0.4302) (multiplicity 2)
Ir (0.0000, 0.0000, 0.2823) (multiplicity 2)